Record 1
The following is a theoretical powder XRD pattern of AcLa2Rh2. It was derived from a GGA-PBE-relaxed structure, using Cu Ka.

Top 8 peaks for 10 to 90 degrees two-theta, by angle:
16.7 deg, intensity 26
27.8 deg, intensity 82
27.9 deg, intensity 77
28.1 deg, intensity 80
36.2 deg, intensity 44
36.4 deg, intensity 47
36.7 deg, intensity 43
43.1 deg, intensity 100

Crystal structure
```
AcLa2Rh2
1.0
6.300 -3.638 0.000
6.300 3.638 0.000
-4.106 0.000 6.704
Ac La Rh
2 4 4
direct
0.079 0.921 0.500
0.921 0.079 0.000
0.247 0.413 0.999
0.413 0.247 0.499
0.582 0.745 0.999
0.745 0.582 0.499
0.168 0.646 0.740
0.503 0.996 0.759
0.646 0.168 0.240
0.996 0.503 0.259
```

***

Record 2
The following is a theoretical powder XRD pattern of Ca3HgF8. It was derived from a GGA-PBE-relaxed structure, using Cu Ka.

Top 8 peaks for 10 to 90 degrees two-theta, by angle:
16.0 deg, intensity 56
22.7 deg, intensity 55
27.8 deg, intensity 100
36.2 deg, intensity 37
39.8 deg, intensity 27
46.3 deg, intensity 77
54.9 deg, intensity 43
85.7 deg, intensity 22

Crystal structure
```
Ca3HgF8
1.0
5.551 0.000 0.000
0.000 5.551 0.000
0.000 0.000 5.551
Ca Hg F
3 1 8
direct
0.000 0.000 0.500
0.000 0.500 0.000
0.500 0.000 0.000
0.500 0.500 0.500
0.246 0.246 0.246
0.246 0.246 0.754
0.246 0.754 0.246
0.246 0.754 0.754
0.754 0.246 0.246
0.754 0.246 0.754
0.754 0.754 0.246
0.754 0.754 0.754
```

***

Record 3
The following is a theoretical powder XRD pattern of La2TbCd2Ag2. It was derived from a GGA-PBE-relaxed structure, using Cu Ka.

Top 8 peaks for 10 to 90 degrees two-theta, by angle:
31.3 deg, intensity 47
33.9 deg, intensity 78
36.4 deg, intensity 100
48.8 deg, intensity 14
50.6 deg, intensity 25
63.9 deg, intensity 24
64.2 deg, intensity 22
65.5 deg, intensity 17

Crystal structure
```
La2TbCd2Ag2
1.0
2.467 1.425 8.962
-2.467 1.425 8.962
0.000 -2.849 8.962
La Tb Cd Ag
2 1 2 2
direct
0.124 0.124 0.124
0.876 0.876 0.876
0.000 0.000 0.000
0.270 0.270 0.270
0.730 0.730 0.730
0.391 0.391 0.391
0.609 0.609 0.609
```

***

Record 4
The following is a theoretical powder XRD pattern of Er3Al3Zn8. It was derived from a GGA-PBE-relaxed structure, using Cu Ka.

Top 8 peaks for 10 to 90 degrees two-theta, by angle:
30.1 deg, intensity 23
34.4 deg, intensity 19
35.4 deg, intensity 46
35.6 deg, intensity 100
37.0 deg, intensity 20
42.6 deg, intensity 29
43.5 deg, intensity 14
69.5 deg, intensity 18

Crystal structure
```
Er3Al3Zn8
1.0
-2.123 4.745 6.247
2.123 -4.745 6.247
2.123 4.745 -6.247
Er Al Zn
3 3 8
direct
0.000 0.000 0.000
0.303 0.303 0.000
0.697 0.697 0.000
0.296 0.500 0.796
0.500 0.000 0.500
0.704 0.500 0.204
0.030 0.661 0.369
0.136 0.860 0.276
0.293 0.661 0.631
0.416 0.140 0.276
0.584 0.860 0.724
0.707 0.339 0.369
0.864 0.140 0.724
0.970 0.339 0.631
```

***

Record 5
The following is a theoretical powder XRD pattern of LiMg14BO15. It was derived from a GGA-PBE-relaxed structure, using Cu Ka.

Top 8 peaks for 10 to 90 degrees two-theta, by angle:
36.8 deg, intensity 31
42.1 deg, intensity 97
42.4 deg, intensity 100
43.7 deg, intensity 78
61.3 deg, intensity 54
62.3 deg, intensity 44
62.5 deg, intensity 48
78.2 deg, intensity 41

Crystal structure
```
LiMg14BO15
1.0
4.266 0.000 0.000
0.000 8.291 0.000
0.000 0.000 8.587
Li Mg B O
1 14 1 15
direct
0.000 0.000 0.000
0.000 0.000 0.497
0.000 0.246 0.749
0.000 0.258 0.247
0.000 0.500 0.496
0.000 0.742 0.247
0.000 0.754 0.749
0.500 0.000 0.239
0.500 0.000 0.757
0.500 0.250 0.499
0.500 0.258 0.997
0.500 0.500 0.237
0.500 0.500 0.753
0.500 0.742 0.997
0.500 0.750 0.499
0.000 0.500 0.935
0.000 0.000 0.246
0.000 0.000 0.753
0.000 0.251 0.505
0.000 0.327 0.989
0.000 0.500 0.269
0.000 0.673 0.989
0.000 0.749 0.505
0.500 0.000 0.498
0.500 0.000 0.998
0.500 0.251 0.751
0.500 0.252 0.244
0.500 0.500 0.511
0.500 0.500 0.988
0.500 0.748 0.244
0.500 0.749 0.751
```

***

Record 6
The following is a theoretical powder XRD pattern of ErHg4. It was derived from a GGA-PBE-relaxed structure, using Cu Ka.

Top 8 peaks for 10 to 90 degrees two-theta, by angle:
33.0 deg, intensity 55
34.3 deg, intensity 100
35.0 deg, intensity 48
36.5 deg, intensity 86
48.9 deg, intensity 38
58.3 deg, intensity 22
62.3 deg, intensity 18
62.7 deg, intensity 18

Crystal structure
```
ErHg4
1.0
4.224 -2.566 0.000
4.224 2.566 0.000
-2.438 0.000 5.579
Er Hg
1 4
direct
0.000 0.000 0.000
0.203 0.203 0.612
0.401 0.401 0.208
0.599 0.599 0.792
0.797 0.797 0.388
```

***

Record 7
The following is a theoretical powder XRD pattern of NdRe2. It was derived from a GGA-PBE-relaxed structure, using Cu Ka.

Top 8 peaks for 10 to 90 degrees two-theta, by angle:
19.7 deg, intensity 14
32.5 deg, intensity 20
38.3 deg, intensity 100
40.1 deg, intensity 49
61.9 deg, intensity 33
68.1 deg, intensity 30
80.9 deg, intensity 12
82.1 deg, intensity 19

Crystal structure
```
NdRe2
1.0
0.000 3.895 3.895
3.895 0.000 3.895
3.895 3.895 0.000
Nd Re
2 4
direct
0.125 0.125 0.125
0.875 0.875 0.875
0.000 0.500 0.500
0.500 0.000 0.500
0.500 0.500 0.000
0.500 0.500 0.500
```